Starting from a cell relaxed with PBE+U, the PXRD pattern of La2ErCoO6 was simulated for λ = 1.5418 Å (Cu Kα).
Neutral-atom scattering factors, no anomalous dispersion.

The 6 most intense peaks (5 to 70 degrees two-theta), by angle:
- (1 1 0), 2θ = 19.44°, rel. 19
- (0 0 2), 2θ = 29.83°, rel. 23
- (1 2 1), 2θ = 31.23°, rel. 100
- (2 0 0), 2θ = 32.31°, rel. 27
- (2 0 2), 2θ = 44.55°, rel. 25
- (3 2 1), 2θ = 56.95°, rel. 19

Atomic structure:
```
La2ErCoO6
1.0
5.542 0.000 0.000
0.000 8.065 0.000
0.000 0.000 5.990
La Er Co O
4 2 2 12
Cartesian
1.385 0.234 1.196
1.385 3.798 1.196
4.156 4.267 4.794
4.156 7.831 4.794
1.385 2.016 4.232
4.156 6.049 1.758
1.385 6.049 4.689
4.156 2.016 1.300
0.019 2.016 2.584
0.038 6.049 0.065
1.385 4.132 4.757
1.385 7.966 4.757
2.732 6.049 0.065
2.752 2.016 2.584
2.790 6.049 3.406
2.809 2.016 5.925
4.156 0.099 1.232
4.156 3.933 1.232
5.503 2.016 5.925
5.522 6.049 3.406
```